Computed powder XRD pattern
Compound: LiNdCu17
Radiation: Cu Kα (λ = 1.5418 Å)
Structure: the PBE geometry in Alexandria

Top 10 peaks for 2θ from 5° to 70°, by angle:
- hkl 1 0 1, 13.95 deg, d = 6.350 Å, rel. 31.7
- hkl 3 0 0, 36.58 deg, d = 2.456 Å, rel. 33.2
- hkl 0 2 4, 37.73 deg, d = 2.385 Å, rel. 28.3
- hkl 2 2 0, 42.49 deg, d = 2.127 Å, rel. 59.7
- hkl 3 0 3, 42.72 deg, d = 2.117 Å, rel. 100.0
- hkl 0 0 6, 43.40 deg, d = 2.085 Å, rel. 36.1
- hkl 2 0 5, 43.73 deg, d = 2.070 Å, rel. 20.0
- hkl 2 2 3, 48.01 deg, d = 1.895 Å, rel. 70.0
- hkl 1 1 6, 48.63 deg, d = 1.872 Å, rel. 20.0
- hkl 2 2 6, 62.39 deg, d = 1.488 Å, rel. 20.8

```
data_LiNdCu17
_chemical_formula_sum 'Li3 Nd3 Cu51'
_cell_length_a 8.5092
_cell_length_b 8.5092
_cell_length_c 12.5112
_cell_angle_alpha 90.00
_cell_angle_beta 90.00
_cell_angle_gamma 120.00
_symmetry_space_group_name_H-M 'R 3 m'
_symmetry_Int_Tables_number 160
_symmetry_space_group_name_Hall 'R 3 -2"'
loop_
_atom_site_label
_atom_site_type_symbol
_atom_site_fract_x
_atom_site_fract_y
_atom_site_fract_z
Li1 Li 0.0000 0.0000 0.0000
Nd1 Nd 0.0000 0.0000 0.3160
Cu1 Cu 0.0000 0.0000 0.5649
Cu2 Cu 0.0000 0.0000 0.7600
Cu3 Cu 0.0022 0.5011 0.1572
Cu4 Cu 0.0034 0.5017 0.8131
Cu5 Cu 0.0040 0.3006 0.6588
Cu6 Cu 0.0079 0.5039 0.5054
```

Computed powder XRD pattern
Compound: Li2NdCu9
Radiation: Cu Kα (λ = 1.5418 Å)
Structure: the PBE geometry in Alexandria

Top 10 peaks for 2θ from 5° to 70°, by angle:
- hkl 0 0 1, 17.93 deg, d = 4.948 Å, rel. 33.3
- hkl 1 1 1, 23.45 deg, d = 3.793 Å, rel. 43.8
- hkl 2 1 0, 23.81 deg, d = 3.736 Å, rel. 27.6
- hkl 2 2 1, 35.39 deg, d = 2.536 Å, rel. 46.9
- hkl 3 1 1, 38.63 deg, d = 2.331 Å, rel. 100.0
- hkl 2 0 2, 42.46 deg, d = 2.129 Å, rel. 59.3
- hkl 2 1 2, 43.89 deg, d = 2.063 Å, rel. 57.0
- hkl 4 1 0, 44.72 deg, d = 2.026 Å, rel. 68.0
- hkl 4 2 0, 48.74 deg, d = 1.868 Å, rel. 25.8
- hkl 3 3 1, 49.84 deg, d = 1.830 Å, rel. 20.1

```
data_Li2NdCu9
_chemical_formula_sum 'Li4 Nd2 Cu18'
_cell_length_a 8.3550
_cell_length_b 8.3550
_cell_length_c 4.9480
_cell_angle_alpha 90.00
_cell_angle_beta 90.00
_cell_angle_gamma 90.00
_symmetry_space_group_name_H-M 'P 4/m b m'
_symmetry_Int_Tables_number 127
_symmetry_space_group_name_Hall '-P 4 2ab'
loop_
_atom_site_label
_atom_site_type_symbol
_atom_site_fract_x
_atom_site_fract_y
_atom_site_fract_z
Li1 Li 0.1130 0.3870 0.0000
Nd1 Nd 0.0000 0.0000 0.0000
Cu1 Cu 0.0000 0.5000 0.5000
Cu2 Cu 0.0625 0.2112 0.5000
Cu3 Cu 0.1804 0.6804 0.2440
```

Computed powder XRD pattern
Compound: Li2Nd2Cu15
Radiation: Cu Kα (λ = 1.5418 Å)
Structure: the PBE geometry in Alexandria

Top 10 peaks for 2θ from 5° to 70°, by angle:
- hkl 1 1 3, 29.54 deg, d = 3.024 Å, rel. 30.4
- hkl 3 0 0, 35.97 deg, d = 2.496 Å, rel. 22.2
- hkl 0 2 4, 37.14 deg, d = 2.420 Å, rel. 14.6
- hkl 2 2 0, 41.78 deg, d = 2.162 Å, rel. 39.1
- hkl 3 0 3, 42.03 deg, d = 2.150 Å, rel. 100.0
- hkl 0 0 6, 42.77 deg, d = 2.114 Å, rel. 42.7
- hkl 2 2 3, 47.21 deg, d = 1.925 Å, rel. 25.7
- hkl 4 1 3, 60.73 deg, d = 1.525 Å, rel. 16.7
- hkl 2 2 6, 61.33 deg, d = 1.512 Å, rel. 24.3
- hkl 3 3 3, 68.81 deg, d = 1.364 Å, rel. 17.9

```
data_Li2Nd2Cu15
_chemical_formula_sum 'Li6 Nd6 Cu45'
_cell_length_a 8.6480
_cell_length_b 8.6480
_cell_length_c 12.6890
_cell_angle_alpha 90.00
_cell_angle_beta 90.00
_cell_angle_gamma 120.00
_symmetry_space_group_name_H-M 'R -3 m'
_symmetry_Int_Tables_number 166
_symmetry_space_group_name_Hall '-R 3 2"'
loop_
_atom_site_label
_atom_site_type_symbol
_atom_site_fract_x
_atom_site_fract_y
_atom_site_fract_z
Li1 Li 0.0000 0.0000 0.0930
Nd1 Nd 0.0000 0.0000 0.3451
Cu1 Cu 0.0000 0.2994 0.0000
Cu2 Cu 0.9999 0.5000 0.1574
Cu3 Cu 0.0000 0.5000 0.5000
```

Computed powder XRD pattern
Compound: LiNdCu5
Radiation: Cu Kα (λ = 1.5418 Å)
Structure: the PBE geometry in Alexandria

Top 10 peaks for 2θ from 5° to 70°, by angle:
- hkl 1 0 2, 20.35 deg, d = 4.363 Å, rel. 17.7
- hkl 1 1 1, 22.12 deg, d = 4.019 Å, rel. 17.2
- hkl 0 2 0, 34.76 deg, d = 2.581 Å, rel. 14.4
- hkl 1 0 4, 36.51 deg, d = 2.461 Å, rel. 26.8
- hkl 3 1 1, 38.39 deg, d = 2.345 Å, rel. 100.0
- hkl 0 2 2, 39.02 deg, d = 2.308 Å, rel. 18.4
- hkl 1 2 2, 40.62 deg, d = 2.221 Å, rel. 21.7
- hkl 2 2 0, 41.39 deg, d = 2.182 Å, rel. 16.7
- hkl 1 0 5, 45.30 deg, d = 2.002 Å, rel. 46.6
- hkl 3 3 1, 64.73 deg, d = 1.440 Å, rel. 19.8

```
data_LiNdCu5
_chemical_formula_sum 'Li4 Nd4 Cu20'
_cell_length_a 8.1677
_cell_length_b 5.1611
_cell_length_c 10.3234
_cell_angle_alpha 90.00
_cell_angle_beta 90.00
_cell_angle_gamma 90.00
_symmetry_space_group_name_H-M 'P n m a'
_symmetry_Int_Tables_number 62
_symmetry_space_group_name_Hall '-P 2ac 2n'
loop_
_atom_site_label
_atom_site_type_symbol
_atom_site_fract_x
_atom_site_fract_y
_atom_site_fract_z
Li1 Li 0.1397 0.2500 0.1389
Nd1 Nd 0.2440 0.7500 0.9366
Cu1 Cu 0.0631 0.2500 0.8959
Cu2 Cu 0.0690 0.5037 0.6873
Cu3 Cu 0.0943 0.7500 0.4828
Cu4 Cu 0.1808 0.7500 0.2490
```

Computed powder XRD pattern
Compound: Li2Nd2CuPd5
Radiation: Cu Kα (λ = 1.5418 Å)
Structure: the PBE geometry in Alexandria

Top 10 peaks for 2θ from 5° to 70°, by angle:
- hkl 2 0 1, 30.08 deg, d = 2.970 Å, rel. 22.4
- hkl 2 1 1, 31.56 deg, d = 2.835 Å, rel. 77.3
- hkl 2 2 1, 35.65 deg, d = 2.519 Å, rel. 40.7
- hkl 3 1 1, 38.16 deg, d = 2.358 Å, rel. 100.0
- hkl 4 1 0, 39.09 deg, d = 2.304 Å, rel. 76.8
- hkl 3 3 0, 40.27 deg, d = 2.240 Å, rel. 23.5
- hkl 3 2 1, 41.69 deg, d = 2.167 Å, rel. 33.1
- hkl 0 0 2, 47.79 deg, d = 1.903 Å, rel. 30.1
- hkl 4 1 2, 63.39 deg, d = 1.467 Å, rel. 36.5
- hkl 5 4 1, 67.78 deg, d = 1.383 Å, rel. 12.8

```
data_Li2Nd2CuPd5
_chemical_formula_sum 'Li4 Nd4 Cu2 Pd10'
_cell_length_a 9.5014
_cell_length_b 9.5014
_cell_length_c 3.8062
_cell_angle_alpha 90.00
_cell_angle_beta 90.00
_cell_angle_gamma 90.00
_symmetry_space_group_name_H-M 'P 4/m b m'
_symmetry_Int_Tables_number 127
_symmetry_space_group_name_Hall '-P 4 2ab'
loop_
_atom_site_label
_atom_site_type_symbol
_atom_site_fract_x
_atom_site_fract_y
_atom_site_fract_z
Li1 Li 0.1169 0.3831 0.0000
Nd1 Nd 0.1828 0.6828 0.0000
Cu1 Cu 0.0000 0.0000 0.0000
Pd1 Pd 0.0000 0.5000 0.5000
Pd2 Pd 0.0607 0.2030 0.5000
```

Computed powder XRD pattern
Compound: LiNd2CuRh2
Radiation: Cu Kα (λ = 1.5418 Å)
Structure: the PBE geometry in Alexandria

Top 10 peaks for 2θ from 5° to 70°, by angle:
- hkl 0 4 0, 24.42 deg, d = 3.645 Å, rel. 40.2
- hkl 0 0 2, 31.28 deg, d = 2.860 Å, rel. 95.6
- hkl 1 4 1, 33.09 deg, d = 2.708 Å, rel. 61.1
- hkl 0 2 2, 33.66 deg, d = 2.662 Å, rel. 39.2
- hkl 0 6 0, 37.00 deg, d = 2.430 Å, rel. 20.3
- hkl 0 4 2, 40.08 deg, d = 2.250 Å, rel. 100.0
- hkl 2 0 2, 44.82 deg, d = 2.022 Å, rel. 64.0
- hkl 2 4 2, 51.69 deg, d = 1.768 Å, rel. 20.6
- hkl 1 4 3, 56.83 deg, d = 1.620 Å, rel. 25.9
- hkl 1 10 1, 68.40 deg, d = 1.372 Å, rel. 22.7

```
data_LiNd2CuRh2
_chemical_formula_sum 'Li4 Nd8 Cu4 Rh8'
_cell_length_a 5.7268
_cell_length_b 14.5793
_cell_length_c 5.7124
_cell_angle_alpha 90.00
_cell_angle_beta 90.00
_cell_angle_gamma 90.00
_symmetry_space_group_name_H-M 'I b a m'
_symmetry_Int_Tables_number 72
_symmetry_space_group_name_Hall '-I 2 2c'
loop_
_atom_site_label
_atom_site_type_symbol
_atom_site_fract_x
_atom_site_fract_y
_atom_site_fract_z
Li1 Li 0.0000 0.0000 0.2500
Nd1 Nd 0.2437 0.3337 0.0000
Cu1 Cu 0.0000 0.5000 0.2500
Rh1 Rh 0.2484 0.1230 0.0000
```

Computed powder XRD pattern
Compound: Li3Cu7Ni
Radiation: Cu Kα (λ = 1.5418 Å)
Structure: the PBE geometry in Alexandria

Top 10 peaks for 2θ from 5° to 70°, by angle:
- hkl 1 1 0, 15.85 deg, d = 5.590 Å, rel. 65.8
- hkl 2 0 -1, 24.54 deg, d = 3.628 Å, rel. 73.5
- hkl 0 2 1, 29.69 deg, d = 3.009 Å, rel. 97.6
- hkl 3 1 0, 37.93 deg, d = 2.372 Å, rel. 42.3
- hkl 2 0 -2, 39.24 deg, d = 2.296 Å, rel. 51.6
- hkl 0 4 0, 42.46 deg, d = 2.129 Å, rel. 100.0
- hkl 2 2 1, 43.94 deg, d = 2.061 Å, rel. 98.5
- hkl 4 0 -1, 44.61 deg, d = 2.031 Å, rel. 64.1
- hkl 0 2 2, 47.82 deg, d = 1.902 Å, rel. 74.2
- hkl 4 2 -1, 49.70 deg, d = 1.835 Å, rel. 45.4

```
data_Li3Cu7Ni
_chemical_formula_sum 'Li6 Cu14 Ni2'
_cell_length_a 8.1285
_cell_length_b 8.5154
_cell_length_c 4.6642
_cell_angle_alpha 90.00
_cell_angle_beta 114.26
_cell_angle_gamma 90.00
_symmetry_space_group_name_H-M 'C 1 2/m 1'
_symmetry_Int_Tables_number 12
_symmetry_space_group_name_Hall '-C 2y'
loop_
_atom_site_label
_atom_site_type_symbol
_atom_site_fract_x
_atom_site_fract_y
_atom_site_fract_z
Li1 Li 0.0000 0.0000 0.0000
Li2 Li 0.0000 0.2221 0.5000
Cu1 Cu 0.0000 0.5000 0.5000
Cu2 Cu 0.1699 0.2510 0.1786
Cu3 Cu 0.2092 0.0000 0.5482
Ni1 Ni 0.0000 0.5000 0.0000
```

Computed powder XRD pattern
Compound: LiCuNi2
Radiation: Cu Kα (λ = 1.5418 Å)
Structure: the PBE geometry in Alexandria

Top 10 peaks for 2θ from 5° to 70°, by angle:
- hkl 0 0 1, 20.02 deg, d = 4.436 Å, rel. 44.3
- hkl 0 1 0, 21.42 deg, d = 4.148 Å, rel. 31.0
- hkl 0 1 1, 29.48 deg, d = 3.030 Å, rel. 36.9
- hkl 1 1 0, 43.14 deg, d = 2.097 Å, rel. 17.7
- hkl 0 2 0, 43.64 deg, d = 2.074 Å, rel. 60.4
- hkl 1 0 1, 43.95 deg, d = 2.060 Å, rel. 58.8
- hkl 0 1 2, 46.42 deg, d = 1.956 Å, rel. 100.0
- hkl 1 1 -1, 46.55 deg, d = 1.951 Å, rel. 98.4
- hkl 0 2 1, 48.45 deg, d = 1.879 Å, rel. 8.3
- hkl 1 2 1, 63.67 deg, d = 1.462 Å, rel. 35.9

```
data_LiCuNi2
_chemical_formula_sum 'Li1 Cu1 Ni2'
_cell_length_a 2.4388
_cell_length_b 4.1478
_cell_length_c 4.4518
_cell_angle_alpha 90.00
_cell_angle_beta 94.80
_cell_angle_gamma 90.00
_symmetry_space_group_name_H-M 'P 1 2/m 1'
_symmetry_Int_Tables_number 10
_symmetry_space_group_name_Hall '-P 2y'
loop_
_atom_site_label
_atom_site_type_symbol
_atom_site_fract_x
_atom_site_fract_y
_atom_site_fract_z
Li1 Li 0.0000 0.0000 0.0000
Cu1 Cu 0.5000 0.0000 0.5000
Ni1 Ni 0.2342 0.5000 0.7513
```